# 1
For CrN2, the PBE geometry in the Materials Project gives the simulated powder XRD pattern in this record (Cu Kα (λ = 1.5418 Å)).
Lines closer than 0.1° are merged.

```
data_CrN2
_chemical_formula_sum 'Cr4 N8'
_cell_length_a 5.2869
_cell_length_b 5.7327
_cell_length_c 6.5757
_cell_angle_alpha 90.54
_cell_angle_beta 92.05
_cell_angle_gamma 91.25
_space_group_name_H-M_alt 'P 1'
_space_group_IT_number 1
loop_
_space_group_symop_operation_xyz
'x,y,z'
loop_
_atom_site_label
_atom_site_fract_x
_atom_site_fract_y
_atom_site_fract_z
Cr1 0.0000 0.0000 0.0000
Cr2 0.1368 0.2398 0.6040
Cr3 0.5200 0.9934 0.3305
Cr4 0.8526 0.7481 0.6047
N1 0.1260 0.2345 0.8718
N2 0.2764 0.9398 0.1701
N3 0.4282 0.2229 0.4973
N4 0.5500 0.7494 0.4944
N5 0.7707 0.0749 0.1587
N6 0.8738 0.7556 0.8705
N7 0.9756 0.9991 0.5004
N8 0.9980 0.4965 0.5274
```

Main lines, by angle (2θ from 10° to 80°):
| index | two_theta | d_spacing | Rel. int. |
| --- | --- | --- | --- |
| 0 0 1 | 13.47 | 6.571 | 46.8 |
| 0 1 0 | 15.46 | 5.731 | 100.0 |
| 1 0 0 | 16.78 | 5.282 | 33.8 |
| 1 0 -1 | 21.20 | 4.191 | 31.5 |
| 1 0 1 | 21.96 | 4.047 | 25.9 |
| 1 -1 0 | 22.64 | 3.928 | 21.7 |
| -1 1 1 | 26.20 | 3.401 | 21.9 |
| 1 1 -1 | 26.48 | 3.365 | 28.7 |
| 1 1 1 | 27.27 | 3.270 | 30.1 |
| 0 2 -1 | 33.99 | 2.638 | 27.6 |

=====

# 2
For Zn2WN2, the PBE geometry in the Materials Project gives the simulated powder XRD pattern in this record (Cu Kα (λ = 1.5418 Å)).
Lines closer than 0.1° are merged.

```
data_Zn2WN2
_chemical_formula_sum 'Zn8 W4 N8'
_cell_length_a 10.1525
_cell_length_b 5.1433
_cell_length_c 6.0384
_cell_angle_alpha 90.00
_cell_angle_beta 118.08
_cell_angle_gamma 90.00
_space_group_name_H-M_alt 'C 1 2/m 1'
_space_group_IT_number 12
loop_
_space_group_symop_operation_xyz
'x,y,z'
'-x,-y,-z'
'-x,y,-z'
'x,-y,z'
'x+1/2,y+1/2,z'
'-x+1/2,-y+1/2,-z'
'-x+1/2,y+1/2,-z'
'x+1/2,-y+1/2,z'
loop_
_atom_site_label
_atom_site_fract_x
_atom_site_fract_y
_atom_site_fract_z
Zn1 0.0642 0.0000 0.3168
Zn2 0.1973 0.5000 0.6969
W1 0.1585 0.5000 0.1776
N1 0.0485 0.5000 0.8218
N2 0.1420 0.0000 0.7300
```

Main lines, by angle (2θ from 10° to 80°):
| index | two_theta | d_spacing | Rel. int. |
| --- | --- | --- | --- |
| 2 0 -1 | 18.96 | 4.681 | 28.9 |
| 2 0 0 | 19.87 | 4.468 | 30.6 |
| 1 1 -1 | 22.81 | 3.899 | 54.7 |
| 0 0 2 | 33.65 | 2.664 | 37.8 |
| 3 1 0 | 34.74 | 2.582 | 73.1 |
| 0 2 0 | 34.90 | 2.571 | 100.0 |
| 3 1 -2 | 37.35 | 2.407 | 38.6 |
| 1 1 2 | 43.46 | 2.082 | 29.8 |
| 5 1 -1 | 48.69 | 1.870 | 28.9 |
| 0 2 2 | 49.29 | 1.849 | 45.0 |